# 1
Simulated X-ray diffraction stick pattern of Nd2ZrO5 for Cu Kα (weighted mean of Kα1 and Kα2), from DFT lattice parameters and positions (GGA-PBE).
Lines closer than 0.1° are merged.

Top 6 peaks for 15 to 90 degrees two-theta, by intensity:
30.61 deg, rel. 100, (3 0 1)
31.25 deg, rel. 63, (1 2 1)
28.82 deg, rel. 54, (0 0 2)
31.82 deg, rel. 44, (2 2 0)
43.46 deg, rel. 43, (2 2 2)
40.66 deg, rel. 41, (3 2 1)

Cell and atoms:
```
data_Nd2ZrO5
_chemical_formula_sum 'Nd8 Zr4 O20'
_space_group_name_H-M_alt 'P n m a'
_space_group_IT_number 62
_cell_length_a 9.9363
_cell_length_b 6.8230
_cell_length_c 6.1961
_cell_angle_alpha 90.00
_cell_angle_beta 90.00
_cell_angle_gamma 90.00
loop_
_space_group_symop_operation_xyz
'x,y,z'
'-x,-y,-z'
'-x+1/2,-y,z+1/2'
'x+1/2,y,-z+1/2'
'x+1/2,-y+1/2,-z+1/2'
'-x+1/2,y+1/2,z+1/2'
'-x,y+1/2,-z'
'x,-y+1/2,z'
loop_
_atom_site_label
_atom_site_type_symbol
_atom_site_fract_x
_atom_site_fract_y
_atom_site_fract_z
Nd1 Nd 0.1733 0.0019 0.0268
Zr1 Zr 0.0056 0.2500 0.5589
O1 O 0.0050 0.2500 0.9359
O2 O 0.0891 0.5260 0.6555
O3 O 0.1832 0.2500 0.3419
O4 O 0.2023 0.7500 0.3218
```

---

# 2
Simulated X-ray diffraction stick pattern of La3Ce4O12 for Cu Kα (weighted mean of Kα1 and Kα2), from DFT lattice parameters and positions (GGA-PBE).
Lines closer than 0.1° are merged.

Top 6 peaks for 15 to 90 degrees two-theta, by intensity:
28.06 deg, rel. 100, (1 1 -1)
27.16 deg, rel. 51, (6 0 1)
27.42 deg, rel. 48, (8 0 -1)
32.21 deg, rel. 42, (7 1 0)
45.71 deg, rel. 32, (5 1 2)
46.03 deg, rel. 31, (9 1 -2)

Cell and atoms:
```
data_La3Ce4O12
_chemical_formula_sum 'La6 Ce8 O24'
_space_group_name_H-M_alt 'C 1 2/m 1'
_space_group_IT_number 12
_cell_length_a 28.5868
_cell_length_b 3.8528
_cell_length_c 5.6344
_cell_angle_alpha 90.00
_cell_angle_beta 100.81
_cell_angle_gamma 90.00
loop_
_space_group_symop_operation_xyz
'x,y,z'
'-x,-y,-z'
'-x,y,-z'
'x,-y,z'
'x+1/2,y+1/2,z'
'-x+1/2,-y+1/2,-z'
'-x+1/2,y+1/2,-z'
'x+1/2,-y+1/2,z'
loop_
_atom_site_label
_atom_site_type_symbol
_atom_site_fract_x
_atom_site_fract_y
_atom_site_fract_z
La1 La 0.0000 0.0000 0.0000
La2 La 0.0728 0.5000 0.5238
Ce1 Ce 0.1514 0.0000 0.1591
Ce2 Ce 0.2141 0.5000 0.7115
O1 O 0.0129 0.5000 0.7606
O2 O 0.0747 0.0000 0.2889
O3 O 0.1358 0.5000 0.8878
O4 O 0.1496 0.5000 0.3919
O5 O 0.2139 0.0000 0.9637
O6 O 0.2164 0.0000 0.4659
```